For Ga2NiO4, a structure optimized by DFT (PBE+U) gives the computed X-ray powder pattern in this record (copper Kα).

Structural model:
Cell: 5.947 5.947 5.947 Å, 60.00 60.00 60.00°
Sites, in units of the cell vectors:
Ga 0.000 0.000 0.000
Ga 0.000 0.000 0.500
Ga 0.000 0.500 0.000
Ga 0.500 0.000 0.000
Ni 0.375 0.375 0.375
Ni 0.625 0.625 0.625
O 0.217 0.761 0.761
O 0.239 0.239 0.239
O 0.239 0.239 0.783
O 0.239 0.783 0.239
O 0.761 0.217 0.761
O 0.761 0.761 0.217
O 0.761 0.761 0.761
O 0.783 0.239 0.239

The 12 most intense peaks (2θ = 10–90°), in order of rising 2θ:
d [Å]  Position (°2θ)  I/Imax
4.856  18.27  151
2.974  30.05  253
2.536  35.39  1000
2.428  37.02  148
2.103  43.02  211
1.717  53.36  86
1.619  56.88  371
1.487  62.46  446
1.283  73.89  108
1.268  74.89  82
1.124  86.61  44
1.095  89.50  184

For Li4V5CuClO15, a structure optimized by DFT (PBE+U) gives the computed X-ray powder pattern in this record (copper Kα).

Structural model:
Cell: 8.963 8.963 5.502 Å, 90.00 90.00 90.00°
Sites, in units of the cell vectors:
Li 0.176 0.810 0.000
Li 0.190 0.176 0.000
Li 0.810 0.824 0.000
Li 0.824 0.190 0.000
V 0.140 0.360 0.464
V 0.360 0.860 0.464
V 0.500 0.500 0.428
V 0.640 0.140 0.464
V 0.860 0.640 0.464
Cu 0.000 0.000 0.367
Cl 0.000 0.000 0.833
O 0.000 0.500 0.407
O 0.087 0.198 0.309
O 0.155 0.326 0.762
O 0.198 0.913 0.309
O 0.313 0.415 0.341
O 0.326 0.845 0.762
O 0.415 0.687 0.341
O 0.500 0.000 0.407
O 0.500 0.500 0.721
O 0.585 0.313 0.341
O 0.674 0.155 0.762
O 0.687 0.585 0.341
O 0.802 0.087 0.309
O 0.845 0.674 0.762
O 0.913 0.802 0.309

The 12 most intense peaks (2θ = 10–90°), in order of rising 2θ:
d [Å]  Position (°2θ)  I/Imax
6.338  13.97  143
5.502  16.11  1000
4.482  19.81  94
4.008  22.18  788
3.240  27.53  415
3.169  28.16  132
2.834  31.56  273
2.750  32.56  205
2.521  35.62  240
2.267  39.75  143
2.004  45.24  152
1.974  45.99  94

For Na7VW6O38, a structure optimized by DFT (PBE+U) gives the computed X-ray powder pattern in this record (copper Kα).

Structural model:
Cell: 7.999 10.837 10.966 Å, 62.94 75.96 87.80°
Sites, in units of the cell vectors:
Na 0.000 0.000 0.000
Na 0.015 0.124 0.214
Na 0.220 0.324 0.668
Na 0.362 0.755 0.852
Na 0.414 0.621 0.345
Na 0.453 0.988 0.323
Na 0.856 0.547 0.085
V 0.708 0.412 0.589
W 0.073 0.344 0.408
W 0.483 0.147 0.885
W 0.771 0.335 0.910
W 0.832 0.086 0.691
W 0.950 0.661 0.318
W 0.999 0.599 0.625
O 0.006 0.418 0.787
O 0.055 0.710 0.873
O 0.065 0.193 0.597
O 0.098 0.249 0.309
O 0.177 0.427 0.007
O 0.179 0.729 0.237
O 0.188 0.938 0.533
O 0.220 0.837 0.011
O 0.228 0.616 0.552
O 0.234 0.960 0.218
O 0.257 0.153 0.888
O 0.273 0.893 0.627
O 0.286 0.413 0.381
O 0.301 0.492 0.005
O 0.419 0.837 0.599
O 0.474 0.996 0.055
O 0.502 0.335 0.677
O 0.513 0.223 0.313
O 0.524 0.278 0.952
O 0.575 0.054 0.771
O 0.584 0.830 0.254
O 0.609 0.707 0.055
O 0.623 0.751 0.927
O 0.674 0.213 0.316
O 0.692 0.555 0.432
O 0.725 0.087 0.367
O 0.729 0.451 0.987
O 0.741 0.496 0.700
O 0.760 0.225 0.787
O 0.798 0.286 0.519
O 0.830 0.998 0.589
O 0.848 0.188 0.041
O 0.852 0.785 0.184
O 0.906 0.961 0.839
O 0.923 0.730 0.455
O 0.963 0.705 0.715
O 0.982 0.482 0.507
O 0.985 0.510 0.264

The 12 most intense peaks (2θ = 10–90°), in order of rising 2θ:
d [Å]  Position (°2θ)  I/Imax
7.733  11.44  867
6.901  12.83  1000
6.288  14.08  613
4.969  17.85  225
4.328  20.52  509
3.457  25.77  396
3.248  27.46  218
3.146  28.37  328
3.003  29.75  213
2.917  30.64  489
2.439  36.85  254
2.292  39.31  212

For ZrCoF6, a structure optimized by DFT (PBE+U) gives the computed X-ray powder pattern in this record (copper Kα).

Structural model:
Cell: 5.731 5.731 5.731 Å, 59.26 59.26 59.26°
Sites, in units of the cell vectors:
Zr 0.000 0.000 0.000
Co 0.500 0.500 0.500
F 0.190 0.310 0.751
F 0.249 0.810 0.690
F 0.310 0.751 0.190
F 0.690 0.249 0.810
F 0.751 0.190 0.310
F 0.810 0.690 0.249

The 12 most intense peaks (2θ = 10–90°), in order of rising 2θ:
d [Å]  Position (°2θ)  I/Imax
4.029  22.06  1000
2.865  31.22  163
2.833  31.58  131
2.427  37.04  56
2.015  45.00  241
1.810  50.41  213
1.794  50.90  170
1.642  56.01  71
1.636  56.23  50
1.433  65.11  68
1.417  65.93  50
1.337  70.45  74

For Ti3Mn3Cr2O16, a structure optimized by DFT (PBE+U) gives the computed X-ray powder pattern in this record (copper Kα).

Structural model:
Cell: 5.862 5.862 8.907 Å, 90.16 90.16 60.12°
Sites, in units of the cell vectors:
Ti 0.000 0.000 0.000
Ti 0.170 0.672 0.498
Ti 0.672 0.170 0.498
Mn 0.010 0.500 0.997
Mn 0.500 0.010 0.997
Mn 0.669 0.669 0.498
Cr 0.174 0.174 0.722
Cr 0.512 0.512 0.220
O 0.012 0.012 0.603
O 0.013 0.497 0.606
O 0.177 0.177 0.107
O 0.180 0.673 0.105
O 0.321 0.321 0.873
O 0.321 0.891 0.866
O 0.367 0.367 0.364
O 0.370 0.796 0.368
O 0.497 0.013 0.606
O 0.508 0.508 0.609
O 0.669 0.669 0.104
O 0.673 0.180 0.105
O 0.796 0.370 0.368
O 0.836 0.836 0.392
O 0.836 0.836 0.892
O 0.891 0.321 0.866

The 12 most intense peaks (2θ = 10–90°), in order of rising 2θ:
d [Å]  Position (°2θ)  I/Imax
4.453  19.94  522
4.413  20.12  1000
3.349  26.62  335
2.564  35.00  183
2.449  36.69  411
2.443  36.78  337
2.207  40.88  340
1.931  47.07  411
1.675  54.81  151
1.465  63.48  225
1.460  63.75  174
1.457  63.89  165

For Li2CoH8C2O10, a structure optimized by DFT (PBE+U) gives the computed X-ray powder pattern in this record (copper Kα).

Structural model:
Cell: 6.161 5.988 12.072 Å, 90.00 112.29 90.00°
Sites, in units of the cell vectors:
Li 0.199 0.245 0.312
Li 0.199 0.255 0.812
Li 0.801 0.745 0.188
Li 0.801 0.755 0.688
Co 0.000 0.000 0.000
Co 0.000 0.500 0.500
H 0.192 0.669 0.362
H 0.192 0.831 0.862
H 0.225 0.682 0.981
H 0.225 0.818 0.481
H 0.331 0.173 0.569
H 0.331 0.327 0.069
H 0.451 0.092 0.103
H 0.451 0.408 0.603
H 0.549 0.592 0.397
H 0.549 0.908 0.897
H 0.669 0.673 0.931
H 0.669 0.827 0.431
H 0.775 0.182 0.519
H 0.775 0.318 0.019
H 0.808 0.169 0.138
H 0.808 0.331 0.638
C 0.262 0.639 0.182
C 0.262 0.861 0.682
C 0.738 0.139 0.318
C 0.738 0.361 0.818
O 0.098 0.710 0.653
O 0.098 0.790 0.153
O 0.105 0.748 0.406
O 0.105 0.752 0.906
O 0.304 0.529 0.282
O 0.304 0.971 0.782
O 0.320 0.170 0.038
O 0.320 0.330 0.538
O 0.380 0.596 0.116
O 0.380 0.904 0.616
O 0.620 0.096 0.384
O 0.620 0.404 0.884
O 0.680 0.670 0.462
O 0.680 0.830 0.962
O 0.696 0.029 0.218
O 0.696 0.471 0.718
O 0.895 0.248 0.094
O 0.895 0.252 0.594
O 0.902 0.210 0.847
O 0.902 0.290 0.347

The 12 most intense peaks (2θ = 10–90°), in order of rising 2θ:
d [Å]  Position (°2θ)  I/Imax
5.700  15.55  416
5.585  15.87  224
5.278  16.80  672
5.063  17.52  637
4.129  21.52  192
3.567  24.96  1000
3.244  27.50  239
3.162  28.22  257
2.720  32.93  340
2.576  34.83  243
2.531  35.47  254
2.118  42.69  242

For Li9Mn2Co5O16, a structure optimized by DFT (PBE+U) gives the computed X-ray powder pattern in this record (copper Kα).

Structural model:
Cell: 3.019 8.048 12.004 Å, 90.76 95.10 91.02°
Sites, in units of the cell vectors:
Li 0.000 0.000 0.000
Li 0.000 0.000 0.500
Li 0.000 0.500 0.000
Li 0.004 0.504 0.248
Li 0.498 0.250 0.626
Li 0.500 0.254 0.121
Li 0.500 0.746 0.879
Li 0.502 0.750 0.374
Li 0.996 0.496 0.752
Mn 0.499 0.249 0.374
Mn 0.501 0.751 0.626
Co 0.000 0.500 0.500
Co 0.001 0.996 0.248
Co 0.498 0.260 0.880
Co 0.502 0.740 0.120
Co 0.999 0.004 0.752
O 0.022 0.237 0.758
O 0.022 0.751 0.009
O 0.023 0.237 0.251
O 0.025 0.739 0.504
O 0.475 0.007 0.368
O 0.476 0.508 0.618
O 0.477 0.020 0.868
O 0.494 0.525 0.128
O 0.506 0.475 0.872
O 0.523 0.980 0.132
O 0.524 0.492 0.382
O 0.525 0.993 0.632
O 0.975 0.261 0.496
O 0.977 0.763 0.749
O 0.978 0.249 0.991
O 0.978 0.763 0.242

The 12 most intense peaks (2θ = 10–90°), in order of rising 2θ:
d [Å]  Position (°2θ)  I/Imax
4.833  18.36  1000
2.643  33.92  209
2.453  36.63  117
2.433  36.95  148
2.221  40.62  359
2.031  44.61  258
2.012  45.07  246
1.503  61.70  84
1.494  62.11  82
1.493  62.17  78
1.489  62.37  80
1.413  66.15  96